[1]
Sr2CdAsP: calculated powder diffractogram (Cu Kα (λ = 1.5418 Å)), based on a PBE-relaxed structure.
Peak positions follow from Bragg's law for the DFT cell and can differ from measured ones.

The 8 most intense peaks (10° ≤ 2θ ≤ 90°), sorted by position:
2theta, I/Imax
10.58, 43
15.67, 31
28.31, 100
31.35, 78
33.64, 85
34.92, 47
36.71, 43
40.93, 46

Cell and atoms:
Lattice parameters (Å, degrees): 8.644 8.644 7.681 90.00 90.00 150.44
Positions (direct):
Sr 0.038 0.962 0.500
Sr 0.207 0.793 0.857
Sr 0.793 0.207 0.357
Sr 0.962 0.038 0.000
Cd 0.402 0.598 0.659
Cd 0.598 0.402 0.159
As 0.435 0.565 0.296
As 0.565 0.435 0.796
P 0.175 0.825 0.248
P 0.825 0.175 0.748



[2]
Sr2CdAsP: calculated powder diffractogram (Cu Kα (λ = 1.5418 Å)), based on a PBE-relaxed structure.
Peak positions follow from Bragg's law for the DFT cell and can differ from measured ones.

The 8 most intense peaks (10° ≤ 2θ ≤ 90°), sorted by position:
2theta, I/Imax
15.73, 65
25.89, 47
28.21, 76
31.64, 45
33.26, 100
35.08, 76
37.37, 33
40.77, 46

Cell and atoms:
Lattice parameters (Å, degrees): 8.770 8.770 7.529 90.00 90.00 150.77
Positions (direct):
Sr 0.034 0.966 0.500
Sr 0.199 0.801 0.836
Sr 0.801 0.199 0.336
Sr 0.966 0.034 0.000
Cd 0.405 0.595 0.654
Cd 0.595 0.405 0.154
As 0.177 0.823 0.251
As 0.823 0.177 0.751
P 0.440 0.560 0.296
P 0.560 0.440 0.796



[3]
Cd2Tc2AsP3: calculated powder diffractogram (Cu Kα (λ = 1.5418 Å)), based on a PBE-relaxed structure.
Peak positions follow from Bragg's law for the DFT cell and can differ from measured ones.

The 8 most intense peaks (10° ≤ 2θ ≤ 90°), sorted by position:
2theta, I/Imax
26.97, 90
27.48, 100
44.09, 37
45.36, 19
45.50, 35
46.65, 17
51.98, 17
52.61, 15

Cell and atoms:
Lattice parameters (Å, degrees): 6.749 6.749 5.747 113.85 113.85 51.63
Positions (direct):
Cd 0.131 0.131 0.368
Cd 0.869 0.869 0.632
Tc 0.350 0.392 0.118
Tc 0.608 0.650 0.882
As 0.689 0.311 0.500
P 0.291 0.709 0.000
P 0.476 0.024 0.807
P 0.976 0.524 0.193



Copy entry 2 word for word.
Sr2CdAsP: calculated powder diffractogram (Cu Kα (λ = 1.5418 Å)), based on a PBE-relaxed structure.
Peak positions follow from Bragg's law for the DFT cell and can differ from measured ones.

The 8 most intense peaks (10° ≤ 2θ ≤ 90°), sorted by position:
2theta, I/Imax
15.73, 65
25.89, 47
28.21, 76
31.64, 45
33.26, 100
35.08, 76
37.37, 33
40.77, 46

Cell and atoms:
Lattice parameters (Å, degrees): 8.770 8.770 7.529 90.00 90.00 150.77
Positions (direct):
Sr 0.034 0.966 0.500
Sr 0.199 0.801 0.836
Sr 0.801 0.199 0.336
Sr 0.966 0.034 0.000
Cd 0.405 0.595 0.654
Cd 0.595 0.405 0.154
As 0.177 0.823 0.251
As 0.823 0.177 0.751
P 0.440 0.560 0.296
P 0.560 0.440 0.796